This entry pairs a crystal structure of LaTl2GeS4 with its theoretical powder diffractogram. Radiation: Cu Kα, 1.54184 Å. Structure: a crystal structure in Alexandria, relaxed with GGA-PBE.
Peak positions follow from Bragg's law for the DFT cell and can differ from measured ones.

The 8 most intense peaks (10° ≤ 2θ ≤ 80°), low angle first:
2θ/deg, d [Å], intensity, index
25.79, 3.455, 63.2, 0 2 2
26.32, 3.387, 58.7, 2 0 2
30.13, 2.966, 100.0, 2 2 0
30.25, 2.954, 49.3, 0 0 4
43.22, 2.093, 71.7, 2 2 4
50.64, 1.803, 23.5, 2 4 2
51.54, 1.773, 21.2, 4 2 2
53.01, 1.727, 18.7, 0 4 4

Structural model:
a b c (Å): 8.2653 8.5175 11.8172
angles (deg): 90.00 90.00 90.00
Space group Imma (No. 74)
Unique sites:
La (0.0000, 0.0000, 0.0000)
Tl (0.0000, 0.0000, 0.5000)
Tl (0.2500, 0.2500, 0.2500)
Ge (0.2500, 0.2500, 0.7500)
S (0.0000, 0.0378, 0.7578)
S (0.2311, 0.2500, 0.9790)

=====

This entry pairs a crystal structure of LaGe4Sb with its theoretical powder diffractogram. Radiation: Cu Kα, 1.54184 Å. Structure: a crystal structure in Alexandria, relaxed with GGA-PBE.
Peak positions follow from Bragg's law for the DFT cell and can differ from measured ones.

The 8 most intense peaks (10° ≤ 2θ ≤ 80°), low angle first:
2θ/deg, d [Å], intensity, index
31.21, 2.866, 46.5, 2 2 0
36.77, 2.444, 100.0, 3 1 1
38.47, 2.340, 24.2, 2 2 2
55.53, 1.655, 17.9, 4 2 2
59.22, 1.560, 32.7, 5 1 1
65.09, 1.433, 25.8, 4 4 0
77.15, 1.236, 11.2, 5 3 3
78.21, 1.222, 8.8, 6 2 2

Structural model:
a b c (Å): 8.1070 8.1070 8.1070
angles (deg): 90.00 90.00 90.00
Space group F-43m (No. 216)
Unique sites:
La (0.0000, 0.0000, 0.0000)
Ge (0.1244, 0.1244, 0.6244)
Sb (0.2500, 0.2500, 0.2500)

=====

This entry pairs a crystal structure of La6GeSb4 with its theoretical powder diffractogram. Radiation: Cu Kα, 1.54184 Å. Structure: a crystal structure in Alexandria, relaxed with GGA-PBE.
Peak positions follow from Bragg's law for the DFT cell and can differ from measured ones.

The 8 most intense peaks (10° ≤ 2θ ≤ 80°), low angle first:
2θ/deg, d [Å], intensity, index
24.08, 3.696, 33.3, 1 2 2
29.64, 3.014, 70.2, 1 3 1
31.18, 2.868, 74.2, 2 1 4
32.79, 2.731, 100.0, 2 2 3
34.11, 2.629, 21.2, 0 0 6
42.34, 2.135, 23.4, 3 2 4
59.61, 1.551, 21.6, 5 3 2
63.34, 1.468, 25.3, 3 5 4

Structural model:
a b c (Å): 12.7853 12.7853 15.7731
angles (deg): 90.00 90.00 120.00
Space group R-3c (No. 167, hexagonal axes)
Unique sites:
La (0.0331, 0.1991, 0.3922)
Ge (0.0000, 0.0000, 0.0000)
Sb (0.0000, 0.0000, 0.2500)
Sb (0.0000, 0.3824, 0.2500)

=====

This entry pairs a crystal structure of La10Ge3Sb3 with its theoretical powder diffractogram. Radiation: Cu Kα, 1.54184 Å. Structure: a crystal structure in Alexandria, relaxed with GGA-PBE.
Peak positions follow from Bragg's law for the DFT cell and can differ from measured ones.

The 8 most intense peaks (10° ≤ 2θ ≤ 80°), low angle first:
2θ/deg, d [Å], intensity, index
28.87, 3.092, 21.6, 1 0 2
29.13, 3.066, 33.8, 2 1 0
32.12, 2.787, 100.0, 2 1 1
32.91, 2.722, 96.9, 1 1 2
33.13, 2.704, 63.1, 3 0 0
47.39, 1.918, 26.5, 2 2 2
50.62, 1.803, 27.8, 2 1 3
65.62, 1.423, 27.6, 3 0 4

Structural model:
a b c (Å): 9.3662 9.3662 6.6892
angles (deg): 90.00 90.00 120.00
Space group P-62m (No. 189)
Unique sites:
La (0.0000, 0.2529, 0.0000)
La (0.0000, 0.7476, 0.5000)
La (0.3333, 0.6667, 0.2602)
Ge (0.0000, 0.3807, 0.5000)
Sb (0.0000, 0.6125, 0.0000)

=====

This entry pairs a crystal structure of LaGeSb2Te with its theoretical powder diffractogram. Radiation: Cu Kα, 1.54184 Å. Structure: a crystal structure in Alexandria, relaxed with GGA-PBE.
Peak positions follow from Bragg's law for the DFT cell and can differ from measured ones.

The 8 most intense peaks (10° ≤ 2θ ≤ 80°), low angle first:
2θ/deg, d [Å], intensity, index
28.70, 3.111, 100.0, 1 1 1
32.83, 2.728, 32.2, 0 0 2
33.47, 2.677, 61.0, 2 0 0
47.59, 1.911, 45.0, 2 0 2
48.06, 1.893, 21.9, 2 2 0
56.10, 1.640, 15.0, 1 1 3
56.94, 1.617, 28.6, 3 1 1
59.43, 1.555, 22.9, 2 2 2

Structural model:
a b c (Å): 5.3542 5.3542 5.4567
angles (deg): 90.00 90.00 90.00
Space group P4/mmm (No. 123)
Unique sites:
La (0.0000, 0.0000, 0.0000)
Ge (0.5000, 0.5000, 0.5000)
Sb (0.0000, 0.5000, 0.5000)
Te (0.5000, 0.5000, 0.0000)

=====

This entry pairs a crystal structure of La5Ge2Se2 with its theoretical powder diffractogram. Radiation: Cu Kα, 1.54184 Å. Structure: a crystal structure in Alexandria, relaxed with GGA-PBE.
Peak positions follow from Bragg's law for the DFT cell and can differ from measured ones.

The 8 most intense peaks (10° ≤ 2θ ≤ 80°), low angle first:
2θ/deg, d [Å], intensity, index
24.57, 3.623, 33.3, 0 2 1
30.06, 2.973, 100.0, 3 1 2
31.11, 2.874, 42.3, 0 2 2
31.95, 2.801, 38.2, 4 0 2
32.14, 2.785, 42.6, 4 2 0
34.00, 2.637, 80.8, 4 2 1
35.23, 2.548, 58.4, 1 1 3
35.57, 2.524, 59.1, 1 3 1

Structural model:
a b c (Å): 15.3762 8.0825 8.1788
angles (deg): 90.00 90.00 90.00
Space group Cmce (No. 64)
Unique sites:
La (0.0000, 0.0000, 0.0000)
La (0.1366, 0.1709, 0.3340)
Ge (0.0000, 0.1269, 0.6271)
Se (0.1990, 0.0000, 0.0000)

=====

This entry pairs a crystal structure of La3SiGe2 with its theoretical powder diffractogram. Radiation: Cu Kα, 1.54184 Å. Structure: a crystal structure in Alexandria, relaxed with GGA-PBE.
Peak positions follow from Bragg's law for the DFT cell and can differ from measured ones.

The 8 most intense peaks (10° ≤ 2θ ≤ 80°), low angle first:
2θ/deg, d [Å], intensity, index
26.15, 3.407, 41.9, 3 0 2
29.32, 3.046, 50.5, 2 1 2
29.99, 2.979, 67.9, 4 0 1
30.23, 2.956, 100.0, 0 1 3
31.11, 2.875, 82.2, 3 1 1
33.64, 2.664, 43.1, 3 1 2
42.29, 2.137, 45.4, 0 2 0
52.70, 1.737, 43.4, 7 0 1

Structural model:
a b c (Å): 12.2889 4.2741 12.2791
angles (deg): 90.00 90.00 90.00
Space group Pnma (No. 62)
Unique sites:
La (0.0631, 0.2500, 0.1198)
La (0.1152, 0.7500, 0.5560)
La (0.2069, 0.2500, 0.7914)
Si (0.1315, 0.2500, 0.3688)
Ge (0.0265, 0.7500, 0.3086)
Ge (0.1967, 0.7500, 0.9880)

=====

This entry pairs a crystal structure of La3Si2Ge4 with its theoretical powder diffractogram. Radiation: Cu Kα, 1.54184 Å. Structure: a crystal structure in Alexandria, relaxed with GGA-PBE.
Peak positions follow from Bragg's law for the DFT cell and can differ from measured ones.

The 8 most intense peaks (10° ≤ 2θ ≤ 80°), low angle first:
2θ/deg, d [Å], intensity, index
24.12, 3.690, 14.3, 1 1 -1
30.76, 2.906, 25.7, 0 0 3
30.91, 2.893, 25.7, 4 0 -1
32.02, 2.795, 100.0, 1 1 2
40.57, 2.224, 42.8, 3 1 -3
42.22, 2.141, 19.3, 4 0 2
43.34, 2.088, 17.9, 0 2 0
54.13, 1.694, 20.7, 4 2 -1

Structural model:
a b c (Å): 11.6098 4.1759 8.9876
angles (deg): 90.00 104.03 90.00
Space group C2/m (No. 12)
Unique sites:
La (0.0000, 0.0000, 0.0000)
La (0.1670, 0.5000, 0.6633)
Si (0.1127, 0.5000, 0.2758)
Ge (0.0555, 0.0000, 0.3844)
Ge (0.2206, 0.5000, 0.0653)

=====

This entry pairs a crystal structure of La8SiGe2 with its theoretical powder diffractogram. Radiation: Cu Kα, 1.54184 Å. Structure: a crystal structure in Alexandria, relaxed with GGA-PBE.
Peak positions follow from Bragg's law for the DFT cell and can differ from measured ones.

The 8 most intense peaks (10° ≤ 2θ ≤ 80°), low angle first:
2θ/deg, d [Å], intensity, index
24.44, 3.643, 52.8, 2 2 0
27.47, 3.247, 87.4, 2 0 1
28.28, 3.156, 90.3, 1 3 1
30.89, 2.895, 57.4, 1 1 -2
31.06, 2.879, 100.0, 0 4 1
32.44, 2.760, 55.2, 3 1 -1
38.03, 2.366, 59.2, 1 5 -1
55.12, 1.666, 64.3, 2 4 -3

Structural model:
a b c (Å): 8.8861 13.1834 6.0115
angles (deg): 90.00 100.35 90.00
Space group Cm (No. 8)
Unique sites:
La (0.0000, 0.0000, 0.0000)
La (0.1135, 0.1334, 0.5433)
La (0.1999, 0.5000, 0.3884)
La (0.3147, 0.2351, 0.1964)
La (0.4890, 0.1161, 0.8106)
Si (0.3451, 0.0000, 0.3124)
Ge (0.3128, 0.3217, 0.7088)

=====

This entry pairs a crystal structure of La3SiGe3 with its theoretical powder diffractogram. Radiation: Cu Kα, 1.54184 Å. Structure: a crystal structure in Alexandria, relaxed with GGA-PBE.
Peak positions follow from Bragg's law for the DFT cell and can differ from measured ones.

The 8 most intense peaks (10° ≤ 2θ ≤ 80°), low angle first:
2θ/deg, d [Å], intensity, index
25.95, 3.433, 21.6, 1 0 3
28.77, 3.103, 27.9, 0 0 6
30.65, 2.917, 100.0, 1 1 2
30.88, 2.896, 44.7, 0 1 5
35.00, 2.564, 36.7, 1 1 4
39.10, 2.304, 32.1, 0 2 0
41.36, 2.183, 21.9, 1 1 6
43.94, 2.061, 22.5, 2 0 0

Structural model:
a b c (Å): 4.1216 4.6074 18.6167
angles (deg): 90.00 90.00 90.00
Space group Imm2 (No. 44)
Unique sites:
La (0.0000, 0.0000, 0.0000)
La (0.0000, 0.0000, 0.3597)
La (0.0000, 0.5000, 0.6776)
Si (0.0000, 0.5000, 0.1125)
Ge (0.0000, 0.0000, 0.5322)
Ge (0.0000, 0.0000, 0.8308)
Ge (0.0000, 0.5000, 0.2433)

=====

This entry pairs a crystal structure of La3Si2Ge3 with its theoretical powder diffractogram. Radiation: Cu Kα, 1.54184 Å. Structure: a crystal structure in Alexandria, relaxed with GGA-PBE.
Peak positions follow from Bragg's law for the DFT cell and can differ from measured ones.

The 8 most intense peaks (10° ≤ 2θ ≤ 80°), low angle first:
2θ/deg, d [Å], intensity, index
27.99, 3.187, 100.0, 1 1 3
31.63, 2.828, 99.4, 1 1 4
31.80, 2.814, 50.9, 1 3 0
32.01, 2.796, 41.3, 0 4 1
32.29, 2.772, 89.8, 1 3 1
33.12, 2.705, 75.7, 0 0 6
42.52, 2.126, 71.0, 1 3 5
43.00, 2.104, 56.0, 2 0 0

Structural model:
a b c (Å): 4.2071 11.3522 16.2289
angles (deg): 90.00 90.00 90.00
Space group Cmcm (No. 63)
Unique sites:
La (0.0000, 0.0669, 0.2500)
La (0.0000, 0.3587, 0.0895)
Si (0.0000, 0.3478, 0.6260)
Ge (0.0000, 0.0790, 0.0574)
Ge (0.0000, 0.2107, 0.7500)

=====

This entry pairs a crystal structure of La3Sm3Ge4 with its theoretical powder diffractogram. Radiation: Cu Kα, 1.54184 Å. Structure: a crystal structure in Alexandria, relaxed with GGA-PBE.
Peak positions follow from Bragg's law for the DFT cell and can differ from measured ones.

The 8 most intense peaks (10° ≤ 2θ ≤ 80°), low angle first:
2θ/deg, d [Å], intensity, index
25.58, 3.483, 16.0, 1 2 0
30.27, 2.953, 66.3, 1 2 2
32.38, 2.765, 100.0, 1 1 3
36.07, 2.490, 48.0, 0 2 4
40.41, 2.232, 24.6, 2 0 0
55.27, 1.662, 27.9, 2 2 4
67.27, 1.392, 10.6, 3 2 2
68.45, 1.371, 11.3, 3 1 3

Structural model:
a b c (Å): 4.4643 11.1589 11.1110
angles (deg): 90.00 90.00 90.00
Space group Amm2 (No. 38)
Unique sites:
La (0.0000, 0.0000, 0.0000)
La (0.0000, 0.1752, 0.6719)
Sm (0.0000, 0.0000, 0.3476)
Sm (0.5000, 0.2501, 0.4233)
Ge (0.5000, 0.0000, 0.5482)
Ge (0.5000, 0.0000, 0.7916)
Ge (0.5000, 0.1185, 0.1773)

=====

This entry pairs a crystal structure of La2Sm2Ge3 with its theoretical powder diffractogram. Radiation: Cu Kα, 1.54184 Å. Structure: a crystal structure in Alexandria, relaxed with GGA-PBE.
Peak positions follow from Bragg's law for the DFT cell and can differ from measured ones.

The 8 most intense peaks (10° ≤ 2θ ≤ 80°), low angle first:
2θ/deg, d [Å], intensity, index
29.04, 3.075, 27.8, 3 1 -1
29.75, 3.004, 28.5, 4 0 -2
30.37, 2.943, 35.4, 4 0 0
30.75, 2.908, 74.8, 3 1 0
31.51, 2.839, 100.0, 1 1 -2
33.08, 2.708, 34.9, 3 1 -2
37.01, 2.429, 41.2, 1 1 2
41.71, 2.165, 46.5, 0 2 0

Structural model:
a b c (Å): 13.2209 4.3307 7.6492
angles (deg): 90.00 117.08 90.00
Space group C2/m (No. 12)
Unique sites:
La (0.1154, 0.0000, 0.2694)
Sm (0.1578, 0.0000, 0.7679)
Ge (0.0000, 0.5000, 0.5000)
Ge (0.0892, 0.5000, 0.9607)